# 1
# Fe4NiRh
Calculated powder diffraction line list, Cu Kα (weighted mean of Kα1 and Kα2). Input: a structure optimized by DFT (GGA-PBE).

The 10 most intense peaks (10 to 90 degrees two-theta), by intensity:
two_theta, I/Imax
45.37, 100
38.40, 42
47.51, 28
74.34, 28
82.26, 22
69.45, 14
26.89, 3
23.24, 3
62.66, 1
55.43, 1

a b c (Å): 4.6882 4.6882 4.6882
angles (deg): 60.00 60.00 60.00
Atoms (fractional coordinates):
Fe 0.1252 0.1252 0.1252
Fe 0.1252 0.1252 0.6245
Fe 0.1252 0.6245 0.1252
Fe 0.6245 0.1252 0.1252
Ni 0.5000 0.5000 0.5000
Rh 0.7500 0.7500 0.7500

---

# 2
# Fe4Ni5Rh2
Calculated powder diffraction line list, Cu Kα (weighted mean of Kα1 and Kα2). Input: a structure optimized by DFT (GGA-PBE).

The 10 most intense peaks (10 to 90 degrees two-theta), by intensity:
two_theta, I/Imax
43.12, 100
50.25, 62
42.84, 51
43.27, 50
50.05, 31
73.34, 18
73.90, 18
89.62, 17
89.17, 16
89.74, 11

a b c (Å): 4.4391 4.4530 6.8169
angles (deg): 84.17 89.75 80.48
Atoms (fractional coordinates):
Fe 0.0494 0.2285 0.0968
Fe 0.3149 0.5922 0.6277
Fe 0.6851 0.4078 0.3723
Fe 0.9506 0.7715 0.9032
Ni 0.1372 0.6738 0.2720
Ni 0.2196 0.1397 0.4543
Ni 0.5000 0.5000 0.0000
Ni 0.7804 0.8603 0.5457
Ni 0.8628 0.3262 0.7280
Rh 0.4057 0.0476 0.8138
Rh 0.5943 0.9524 0.1862